Structure and theoretical powder diffraction line list of Na2Co5Mo4Cl4O16 (a crystal structure in Alexandria, relaxed with PBE+U; Cu Kα).

Peak list (6 most intense, 2θ from 10° to 80°, by angle)
d/Å, 2θ (°), I (rel.), index
3.392, 26.3, 402, 0 0 3
3.361, 26.5, 1000, 2 0 0
3.189, 28.0, 263, 2 1 2
3.148, 28.4, 247, 2 0 2
2.795, 32.0, 210, 1 2 -1
2.708, 33.1, 228, -1 1 3

Structural model:
abc: 7.0304 7.0334 10.8152
angles: 74.78 74.89 78.95
Space group P-1 (No. 2)
One atom of each set of equivalent atoms:
Na 0.1743 0.1733 0.4944
Co 0.0583 0.4156 0.8639
Co 0.4153 0.0584 0.8638
Co 0.5000 0.5000 0.5000
Mo 0.0535 0.0531 0.1520
Mo 0.4588 0.4585 0.1938
Cl 0.1408 0.5324 0.6252
Cl 0.4688 0.8588 0.3750
O 0.0153 0.6858 0.9178
O 0.0237 0.0230 0.3212
O 0.1071 0.1073 0.8722
O 0.2325 0.5566 0.1418
O 0.3144 0.9844 0.0823
O 0.3611 0.3611 0.8678
O 0.4013 0.4007 0.3703
O 0.4433 0.7675 0.8581